[1]
Diffraction record for Na2SrCuF8. The powder X-ray diffraction pattern is simulated, not measured: it uses a cell relaxed with GGA-PBE and Cu Kα (weighted mean of Kα1 and Kα2).

Atomic structure:
```
Na2SrCuF8
1.0
4.4508 0.0000 0.0000
-0.3827 5.2613 0.0000
-0.1486 -0.1306 7.2301
Na Sr Cu F
2 1 1 8
Cartesian
0.0228 0.0417 1.9349
3.8966 5.0890 5.2953
2.0340 2.6307 0.0000
1.9597 2.5654 3.6151
-0.1758 1.1703 7.2038
0.5088 1.4670 3.6992
1.2917 3.6323 2.2120
1.3853 3.7497 5.0880
2.5341 1.3810 2.1421
2.6277 1.4984 5.0182
3.4106 3.6637 3.5310
4.0952 3.9604 0.0263
```

Principal peaks in the range 10 to 90 degrees two-theta, by intensity:
| Position (°2θ) | intensity |
| --- | --- |
| 16.85 | 100 |
| 27.22 | 90 |
| 25.29 | 79 |
| 30.25 | 56 |
| 29.73 | 51 |
| 46.13 | 47 |
| 46.33 | 43 |
| 50.51 | 40 |
| 20.01 | 38 |
| 24.63 | 34 |

[2]
Diffraction record for NaCuTcF6. The powder X-ray diffraction pattern is simulated, not measured: it uses a cell relaxed with GGA-PBE and Cu Kα (weighted mean of Kα1 and Kα2).

Atomic structure:
```
NaCuTcF6
1.0
5.5564 0.0000 0.0000
-2.7782 4.8120 0.0000
0.0000 0.0000 8.9609
Na Cu Tc F
2 2 2 12
Cartesian
0.0000 3.2080 2.2402
2.7782 1.6040 6.7207
0.0000 0.0000 0.0000
0.0000 0.0000 4.4804
0.0000 3.2080 6.7207
2.7782 1.6040 2.2402
-0.7808 1.7435 5.6162
-1.6587 3.2640 7.8251
0.7808 1.7435 7.8251
-0.8779 4.6165 5.6162
1.9004 0.1956 1.1358
1.1195 1.5480 3.3447
1.6587 3.2640 5.6162
0.8779 4.6165 7.8251
3.6561 0.1956 3.3447
1.9974 3.0685 1.1358
4.4369 1.5480 1.1358
3.5590 3.0685 3.3447
```

Principal peaks in the range 10 to 90 degrees two-theta, by intensity:
| Position (°2θ) | intensity |
| --- | --- |
| 27.20 | 100 |
| 20.95 | 66 |
| 52.47 | 53 |
| 32.22 | 35 |
| 42.65 | 29 |
| 38.11 | 28 |
| 54.45 | 27 |
| 57.45 | 26 |
| 81.54 | 12 |
| 74.13 | 10 |

[3]
Diffraction record for NaTl3Cu2F6. The powder X-ray diffraction pattern is simulated, not measured: it uses a cell relaxed with GGA-PBE and Cu Kα (weighted mean of Kα1 and Kα2).

Atomic structure:
```
NaTl3Cu2F6
1.0
6.2356 0.0000 0.0000
-3.1178 5.4002 0.0000
0.0000 0.0000 5.9489
Na Tl Cu F
1 3 2 6
Cartesian
0.0000 0.0000 0.0000
0.0000 0.0000 2.9745
0.0000 3.6001 0.8875
3.1178 1.8001 5.0614
0.0000 3.6001 3.4883
3.1178 1.8001 2.4606
0.0000 1.9951 4.8228
-1.3900 4.4026 4.8228
1.7278 0.9976 1.1261
1.3900 4.4026 4.8228
4.5078 0.9976 1.1261
3.1178 3.4050 1.1261
```

Principal peaks in the range 10 to 90 degrees two-theta, by intensity:
| Position (°2θ) | intensity |
| --- | --- |
| 28.63 | 100 |
| 22.23 | 58 |
| 34.42 | 53 |
| 45.36 | 36 |
| 36.55 | 32 |
| 54.53 | 29 |
| 50.72 | 21 |
| 47.07 | 18 |
| 59.28 | 18 |
| 54.87 | 17 |

[4]
Diffraction record for NaTl4Cu3F12. The powder X-ray diffraction pattern is simulated, not measured: it uses a cell relaxed with GGA-PBE and Cu Kα (weighted mean of Kα1 and Kα2).

Atomic structure:
```
NaTl4Cu3F12
1.0
-4.2115 4.2115 4.2115
4.2115 -4.2115 4.2115
4.2115 4.2115 -4.2115
Na Tl Cu F
1 4 3 12
Cartesian
0.0000 0.0000 0.0000
2.1058 2.1058 -2.1058
2.1058 -2.1058 2.1058
-2.1058 2.1058 2.1058
2.1058 2.1058 2.1058
4.2115 0.0000 0.0000
0.0000 4.2115 0.0000
0.0000 0.0000 4.2115
2.3074 0.0000 0.0000
6.1156 0.0000 0.0000
4.2115 2.1058 0.0000
4.2115 0.0000 2.1058
0.0000 2.3074 0.0000
0.0000 0.0000 2.3074
2.1058 4.2115 0.0000
2.1058 0.0000 4.2115
0.0000 6.1156 0.0000
0.0000 0.0000 6.1156
0.0000 4.2115 2.1058
0.0000 2.1058 4.2115
```

Principal peaks in the range 10 to 90 degrees two-theta, by intensity:
| Position (°2θ) | intensity |
| --- | --- |
| 30.01 | 100 |
| 53.28 | 41 |
| 42.95 | 33 |
| 21.09 | 29 |
| 36.97 | 27 |
| 86.46 | 22 |
| 62.36 | 20 |
| 70.74 | 18 |
| 48.32 | 15 |
| 74.76 | 9 |

[5]
Diffraction record for Na2YCuF8. The powder X-ray diffraction pattern is simulated, not measured: it uses a cell relaxed with GGA-PBE and Cu Kα (weighted mean of Kα1 and Kα2).

Atomic structure:
```
Na2YCuF8
1.0
3.6800 0.0000 0.0000
-0.2989 5.3016 0.0000
-0.0390 -0.8450 8.6566
Na Y Cu F
2 1 1 8
Cartesian
0.0001 -0.0761 2.3459
3.3419 4.5327 6.3107
1.6905 2.6508 0.0000
1.6710 2.2283 4.3283
-0.2167 2.9162 7.9754
0.4129 0.9732 4.6196
1.4575 2.9308 5.9530
1.5445 4.1565 1.5530
1.7976 0.3001 7.1036
1.8846 1.5258 2.7036
2.9292 3.4834 4.0369
3.5588 1.5404 0.6812
```

Principal peaks in the range 10 to 90 degrees two-theta, by intensity:
| Position (°2θ) | intensity |
| --- | --- |
| 16.80 | 100 |
| 25.31 | 99 |
| 27.90 | 67 |
| 28.81 | 67 |
| 20.52 | 52 |
| 34.77 | 46 |
| 30.43 | 41 |
| 44.73 | 36 |
| 24.23 | 35 |
| 46.73 | 33 |

[6]
Diffraction record for NaYbCu2F8. The powder X-ray diffraction pattern is simulated, not measured: it uses a cell relaxed with GGA-PBE and Cu Kα (weighted mean of Kα1 and Kα2).

Atomic structure:
```
NaYbCu2F8
1.0
-2.7337 2.7337 5.1497
2.7337 -2.7337 5.1497
2.7337 2.7337 -5.1497
Na Yb Cu F
1 1 2 8
Cartesian
0.0000 0.0000 0.0000
0.0000 0.0000 5.1497
2.7337 0.0000 2.5748
0.0000 2.7337 2.5748
3.6456 1.0087 -1.2614
1.0087 1.8218 -1.2614
1.8218 1.0087 1.2614
1.7250 -0.9119 6.4111
1.7250 0.9119 3.8883
-0.9119 1.7250 3.8883
1.0087 3.6456 1.2614
0.9119 1.7250 6.4111
```

Principal peaks in the range 10 to 90 degrees two-theta, by intensity:
| Position (°2θ) | intensity |
| --- | --- |
| 28.88 | 100 |
| 18.37 | 61 |
| 48.57 | 37 |
| 56.11 | 31 |
| 37.82 | 22 |
| 32.76 | 18 |
| 47.01 | 17 |
| 45.55 | 15 |
| 30.75 | 15 |
| 58.86 | 13 |

[7]
Diffraction record for Rb2NbCuF6. The powder X-ray diffraction pattern is simulated, not measured: it uses a cell relaxed with GGA-PBE and Cu Kα (weighted mean of Kα1 and Kα2).

Atomic structure:
```
Rb2NbCuF6
1.0
-3.0379 3.0379 4.5717
3.0379 -3.0379 4.5717
3.0379 3.0379 -4.5717
Rb Nb Cu F
2 1 1 6
Cartesian
3.0379 0.0000 2.2859
0.0000 3.0379 2.2859
0.0000 0.0000 0.0000
0.0000 0.0000 4.5717
0.0000 0.0000 2.0946
1.5064 1.5064 0.0000
1.5315 -1.5315 4.5717
-1.5315 1.5315 4.5717
1.5315 1.5315 4.5717
0.0000 0.0000 7.0488
```

Principal peaks in the range 10 to 90 degrees two-theta, by intensity:
| Position (°2θ) | intensity |
| --- | --- |
| 28.51 | 100 |
| 29.40 | 46 |
| 42.06 | 39 |
| 51.60 | 38 |
| 59.01 | 26 |
| 39.42 | 23 |
| 49.93 | 20 |
| 61.00 | 12 |
| 75.09 | 12 |
| 80.43 | 11 |